Computed powder diffractogram
Compound: Ni3Hg3RuO8
Radiation: Cu Ka
Structure: a DFT-relaxed cell (GGA+U, Alexandria)
Intensities are scaled so that the largest is 100.

Crystal structure
Unit cell a=10.965 b=6.195 c=7.935 alpha=90.00 beta=130.96 gamma=90.00
Space group C2/m (No. 12)
Unique sites:
Ni1 0.000 0.000 0.000
Ni2 0.250 0.250 0.000
Hg1 0.000 0.500 0.500
Hg2 0.250 0.250 0.500
Ru1 0.000 0.500 0.000
O1 0.025 0.259 0.857
O2 0.232 0.500 0.268
O3 0.232 0.500 0.826

Most intense lines, 2θ from 10° to 90°, in order of rising 2θ:
- 2θ = 14.78°, I = 24, hkl 0 0 1
- 2θ = 16.19°, I = 25, hkl 2 0 -1
- 2θ = 17.88°, I = 39, hkl 1 1 0
- 2θ = 29.82°, I = 64, hkl 0 0 2
- 2θ = 32.70°, I = 48, hkl 4 0 -2
- 2θ = 36.22°, I = 66, hkl 2 2 0
- 2θ = 36.87°, I = 100, hkl 2 2 -2
- 2θ = 43.73°, I = 33, hkl 4 0 0
- 2θ = 45.94°, I = 21, hkl 4 0 -4
- 2θ = 56.72°, I = 27, hkl 2 2 2
- 2θ = 58.10°, I = 24, hkl 2 2 -4
- 2θ = 60.23°, I = 23, hkl 6 2 -2